This entry pairs a crystal structure of Ba2Li3La3Mo8O32 with its simulated X-ray diffraction stick pattern. Radiation: CuKα. Structure: a cell relaxed with GGA+U.
Lines closer than 0.1° are merged.

Peak list (10 most intense, 2θ = 15–90°, by angle)
| hkl | 2θ/deg | d/Å | I/Imax |
| --- | --- | --- | --- |
| 1 0 4 | 25.1 | 3.551 | 96 |
| 1 1 -4 | 25.8 | 3.457 | 63 |
| -1 1 1 | 26.3 | 3.395 | 100 |
| 1 2 1 | 26.5 | 3.364 | 64 |
| -1 1 2 | 27.4 | 3.253 | 76 |
| 1 1 5 | 28.4 | 3.138 | 51 |
| 1 0 5 | 28.6 | 3.123 | 61 |
| 1 1 -5 | 29.3 | 3.053 | 72 |
| 0 1 6 | 30.1 | 2.969 | 53 |
| 2 1 0 | 33.1 | 2.707 | 68 |

a b c (Å): 5.417 7.118 19.739
angles (deg): 88.45 88.72 68.46
Space group P1 (No. 1)
Inequivalent atoms, fractional coordinates:
Ba 0.000 0.000 0.000 [1 per cell]
Ba 0.053 0.887 0.473 [1 per cell]
Li 0.319 0.312 0.475 [1 per cell]
Li 0.742 0.570 0.001 [1 per cell]
Li 0.956 0.154 0.176 [1 per cell]
La 0.172 0.650 0.266 [1 per cell]
La 0.173 0.647 0.701 [1 per cell]
La 0.887 0.229 0.771 [1 per cell]
Mo 0.298 0.420 0.888 [1 per cell]
Mo 0.301 0.415 0.083 [1 per cell]
Mo 0.456 0.063 0.329 [1 per cell]
Mo 0.474 0.066 0.641 [1 per cell]
Mo 0.583 0.846 0.143 [1 per cell]
Mo 0.585 0.810 0.832 [1 per cell]
Mo 0.761 0.470 0.393 [1 per cell]
Mo 0.764 0.461 0.583 [1 per cell]
O 0.022 0.245 0.422 [1 per cell]
O 0.041 0.632 0.048 [1 per cell]
O 0.114 0.330 0.947 [1 per cell]
O 0.122 0.451 0.806 [1 per cell]
O 0.158 0.222 0.094 [1 per cell]
O 0.225 0.288 0.290 [1 per cell]
O 0.252 0.980 0.694 [1 per cell]
O 0.274 0.017 0.839 [1 per cell]
O 0.287 0.914 0.198 [1 per cell]
O 0.298 0.659 0.910 [1 per cell]
O 0.311 0.871 0.345 [1 per cell]
O 0.323 0.124 0.561 [1 per cell]
O 0.400 0.479 0.162 [1 per cell]
O 0.428 0.640 0.599 [1 per cell]
O 0.493 0.785 0.061 [1 per cell]
O 0.500 0.538 0.458 [1 per cell]
O 0.505 0.275 0.690 [1 per cell]
O 0.554 0.601 0.782 [1 per cell]
O 0.570 0.110 0.410 [1 per cell]
O 0.571 0.353 0.020 [1 per cell]
O 0.621 0.442 0.315 [1 per cell]
O 0.636 0.241 0.874 [1 per cell]
O 0.724 0.037 0.128 [1 per cell]
O 0.739 0.751 0.911 [1 per cell]
O 0.743 0.964 0.275 [1 per cell]
O 0.760 0.222 0.561 [1 per cell]
O 0.788 0.862 0.633 [1 per cell]
O 0.807 0.897 0.778 [1 per cell]
O 0.830 0.636 0.184 [1 per cell]
O 0.918 0.655 0.379 [1 per cell]
O 0.939 0.425 0.666 [1 per cell]
O 0.959 0.546 0.526 [1 per cell]